Record 1
Simulated powder diffraction line list
Compound: Tb3Pr8
Radiation: λ = 1.5418 Å (Cu Kα)
Structure: a DFT-relaxed cell (GGA-PBE, Alexandria)

Structural model:
```
data_Tb3Pr8
_chemical_formula_sum 'Tb6 Pr16'
_symmetry_space_group_name_H-M 'C 1 2/m 1'
_symmetry_Int_Tables_number 12
_symmetry_space_group_name_Hall '-C 2y'
_cell_length_a 11.647
_cell_length_b 5.180
_cell_length_c 13.265
_cell_angle_alpha 90.00
_cell_angle_beta 105.13
_cell_angle_gamma 90.00
loop_
_atom_site_label
_atom_site_fract_x
_atom_site_fract_y
_atom_site_fract_z
Tb1 0.000 0.000 0.000
Tb2 0.091 0.000 0.635
Pr1 0.046 0.500 0.818
Pr2 0.136 0.500 0.454
Pr3 0.181 0.000 0.273
Pr4 0.228 0.500 0.091
```

Peak list (9 most intense, 5° ≤ 2θ ≤ 70°, sorted by position)
d/Å  I (rel.)  index
3.001  100  1 1 3
2.604  34  4 0 1
2.590  17  0 2 0
1.841  12  2 0 6
1.836  24  4 2 1
1.571  15  5 1 4
1.568  14  5 1 -7
1.563  14  1 3 3
1.501  12  2 2 6

***

Record 2
Simulated powder diffraction line list
Compound: Tl5SiAu3
Radiation: λ = 1.5418 Å (Cu Kα)
Structure: a DFT-relaxed cell (GGA-PBE, Alexandria)

Structural model:
```
data_Tl5SiAu3
_chemical_formula_sum 'Tl20 Si4 Au12'
_symmetry_space_group_name_H-M 'C 1 2/m 1'
_symmetry_Int_Tables_number 12
_symmetry_space_group_name_Hall '-C 2y'
_cell_length_a 14.233
_cell_length_b 9.358
_cell_length_c 8.969
_cell_angle_alpha 90.00
_cell_angle_beta 122.18
_cell_angle_gamma 90.00
loop_
_atom_site_label
_atom_site_fract_x
_atom_site_fract_y
_atom_site_fract_z
Tl1 0.000 0.197 0.000
Tl2 0.017 0.000 0.342
Tl3 0.176 0.250 0.718
Tl4 0.186 0.500 0.379
Si1 0.083 0.500 0.821
Au1 0.000 0.500 0.000
Au2 0.000 0.500 0.500
Au3 0.179 0.000 0.240
Au4 0.219 0.000 0.960
```

Peak list (10 most intense, 5° ≤ 2θ ≤ 70°, sorted by position)
d/Å  I (rel.)  index
4.679  36  0 2 0
3.400  28  4 0 -2
3.227  58  2 2 -2
2.963  100  2 2 1
2.831  28  3 1 -3
2.810  59  4 2 -1
2.532  47  0 0 3
2.409  28  4 2 -3
2.340  61  0 4 0
2.225  33  4 0 -4

***

Record 3
Simulated powder diffraction line list
Compound: Rb2TiHgCl6
Radiation: λ = 1.5418 Å (Cu Kα)
Structure: a DFT-relaxed cell (GGA-PBE, Alexandria)

Structural model:
```
data_Rb2TiHgCl6
_chemical_formula_sum 'Rb6 Ti3 Hg3 Cl18'
_symmetry_space_group_name_H-M 'R 3'
_symmetry_Int_Tables_number 146
_symmetry_space_group_name_Hall 'R 3'
_cell_length_a 7.9070
_cell_length_b 7.9070
_cell_length_c 20.9301
_cell_angle_alpha 90.00
_cell_angle_beta 90.00
_cell_angle_gamma 120.00
loop_
_atom_site_label
_atom_site_fract_x
_atom_site_fract_y
_atom_site_fract_z
Rb1 0.0000 0.0000 0.0000
Rb2 0.0000 0.0000 0.4776
Ti1 0.0000 0.0000 0.6784
Hg1 0.0000 0.0000 0.1880
Cl1 0.0078 0.2493 0.7429
Cl2 0.0936 0.6724 0.2783
```

Peak list (10 most intense, 5° ≤ 2θ ≤ 70°, sorted by position)
d/Å  I (rel.)  index
5.730  81  0 1 2
4.158  95  1 0 4
3.953  100  1 1 0
3.440  49  1 1 3
2.865  42  0 2 4
2.616  90  2 -1 6
2.569  32  2 1 1
2.320  54  3 -1 4
2.283  42  3 0 0
1.785  33  0 2 10

***

Record 4
Simulated powder diffraction line list
Compound: Ge5Te4As
Radiation: λ = 1.5418 Å (Cu Kα)
Structure: a DFT-relaxed cell (GGA-PBE, Alexandria)

Structural model:
```
data_Ge5Te4As
_chemical_formula_sum 'Ge10 Te8 As2'
_symmetry_space_group_name_H-M 'I 4/m m m'
_symmetry_Int_Tables_number 139
_symmetry_space_group_name_Hall '-I 4 2'
_cell_length_a 4.139
_cell_length_b 4.139
_cell_length_c 30.133
_cell_angle_alpha 90.00
_cell_angle_beta 90.00
_cell_angle_gamma 90.00
loop_
_atom_site_label
_atom_site_fract_x
_atom_site_fract_y
_atom_site_fract_z
Ge1 0.000 0.000 0.000
Ge2 0.000 0.000 0.205
Ge3 0.000 0.000 0.414
Te1 0.000 0.000 0.099
Te2 0.000 0.000 0.301
As1 0.000 0.000 0.500
```

Peak list (10 most intense, 5° ≤ 2θ ≤ 70°, sorted by position)
d/Å  I (rel.)  index
3.412  15  1 0 5
3.013  47  0 0 10
2.927  100  1 1 0
2.603  6  1 0 9
2.100  67  1 1 10
2.070  37  2 0 0
1.807  6  1 0 15
1.770  5  2 1 5
1.706  35  2 0 10
1.463  12  2 2 0

***

Record 5
Simulated powder diffraction line list
Compound: La5Er2Tm2
Radiation: λ = 1.5418 Å (Cu Kα)
Structure: a DFT-relaxed cell (GGA-PBE, Alexandria)

Structural model:
```
data_La5Er2Tm2
_chemical_formula_sum 'La5 Er2 Tm2'
_symmetry_space_group_name_H-M 'P -1'
_symmetry_Int_Tables_number 2
_symmetry_space_group_name_Hall '-P 1'
_cell_length_a 5.162
_cell_length_b 8.118
_cell_length_c 8.134
_cell_angle_alpha 107.62
_cell_angle_beta 108.45
_cell_angle_gamma 90.04
loop_
_atom_site_label
_atom_site_fract_x
_atom_site_fract_y
_atom_site_fract_z
La1 0.000 0.000 0.000
La2 0.223 0.336 0.446
La3 0.333 0.998 0.667
Er1 0.107 0.663 0.214
Tm1 0.447 0.660 0.893
```

Peak list (10 most intense, 5° ≤ 2θ ≤ 70°, sorted by position)
d/Å  I (rel.)  index
2.970  100  1 1 1
2.581  17  2 0 -1
2.572  17  0 1 -3
2.564  17  0 3 0
1.821  18  2 1 -4
1.819  12  2 3 -1
1.555  15  3 1 0
1.552  7  1 3 -5
1.549  14  1 0 4
1.547  7  1 4 1

***

Record 6
Simulated powder diffraction line list
Compound: Ba3InTe4
Radiation: λ = 1.5418 Å (Cu Kα)
Structure: a DFT-relaxed cell (GGA-PBE, Alexandria)

Structural model:
```
data_Ba3InTe4
_chemical_formula_sum 'Ba6 In2 Te8'
_symmetry_space_group_name_H-M 'P m n 21'
_symmetry_Int_Tables_number 31
_symmetry_space_group_name_Hall 'P 2ac -2'
_cell_length_a 11.614
_cell_length_b 10.099
_cell_length_c 6.997
_cell_angle_alpha 90.00
_cell_angle_beta 90.00
_cell_angle_gamma 90.00
loop_
_atom_site_label
_atom_site_fract_x
_atom_site_fract_y
_atom_site_fract_z
Ba1 0.000 0.151 0.000
Ba2 0.244 0.333 0.501
In1 0.000 0.824 0.454
Te1 0.000 0.135 0.500
Te2 0.000 0.820 0.024
Te3 0.238 0.677 0.501
```

Peak list (10 most intense, 5° ≤ 2θ ≤ 70°, sorted by position)
d/Å  I (rel.)  index
5.039  100  2 1 0
3.498  53  0 0 2
2.909  97  4 0 0
2.874  47  2 1 2
2.517  11  4 2 0
2.237  88  4 0 2
2.045  16  4 2 2
1.678  12  6 3 0
1.513  16  6 3 2
1.499  22  4 0 4

***

Q: Which formula does entry 6 have?
A: Ba3InTe4